Entry 1:
The following is a computed powder XRD pattern of TbMgH8Ir2. It was derived from a DFT-relaxed cell (GGA-PBE, Alexandria), using Cu Kα, 1.54184 Å.
Intensities are scaled so that the largest is 100.

Atomic structure:
```
12
Lattice="2.347 1.355 5.422 -2.347 1.355 5.422 0.000 -2.710 5.422" Properties=species:S:1:pos:R:3 pbc="T T T"
Tb 0.000 0.000 0.000
Mg 0.000 0.000 8.133
H -1.049 -0.605 6.604
H 0.000 0.000 5.189
H 0.000 -1.211 9.661
H -1.049 0.605 9.661
H 1.049 -0.605 6.604
H 0.000 1.211 6.604
H 0.000 0.000 11.076
H 1.049 0.605 9.661
Ir 0.000 0.000 3.560
Ir 0.000 0.000 12.705
```

Largest 8 diffraction maxima, sorted by position, 5° ≤ 2θ ≤ 70°:
2θ/deg, d (Å), I (rel.)
22.5, 3.943, 43
24.5, 3.636, 25
31.1, 2.875, 100
35.3, 2.540, 70
38.4, 2.347, 89
50.2, 1.818, 31
64.9, 1.437, 27
65.2, 1.432, 31

---

Entry 2:
The following is a computed powder XRD pattern of RbMg7. It was derived from a DFT-relaxed cell (GGA-PBE, Alexandria), using Cu Kα, 1.54184 Å.
Intensities are scaled so that the largest is 100.

Atomic structure:
```
8
Lattice="6.876 0.000 0.000 -3.438 5.955 0.000 0.000 0.000 5.457" Properties=species:S:1:pos:R:3 pbc="T T T"
Rb 0.000 0.000 0.000
Mg -1.679 3.000 0.000
Mg 0.000 2.168 2.728
Mg -1.560 4.870 2.728
Mg 1.679 3.000 0.000
Mg 0.000 5.908 0.000
Mg 1.560 4.870 2.728
Mg 3.438 1.985 2.728
```

Largest 8 diffraction maxima, sorted by position, 5° ≤ 2θ ≤ 70°:
2θ/deg, d (Å), I (rel.)
14.9, 5.955, 19
22.1, 4.023, 28
30.0, 2.977, 28
32.8, 2.728, 25
34.3, 2.614, 100
45.1, 2.012, 17
59.6, 1.552, 19
64.0, 1.454, 19

---

Entry 3:
The following is a computed powder XRD pattern of Ca9Cd4Bi9. It was derived from a DFT-relaxed cell (GGA-PBE, Alexandria), using Cu Kα, 1.54184 Å.
Intensities are scaled so that the largest is 100.

Atomic structure:
```
44
Lattice="12.820 0.000 0.000 0.000 22.720 0.000 0.000 0.000 4.802" Properties=species:S:1:pos:R:3 pbc="T T T"
Ca 0.000 0.000 0.000
Ca 0.891 9.368 2.401
Ca 1.625 5.306 2.401
Ca 1.677 19.648 2.401
Ca 2.620 13.655 0.000
Ca 3.790 2.294 0.000
Ca 4.733 8.288 2.401
Ca 4.785 16.666 2.401
Ca 5.519 20.728 2.401
Ca 6.410 11.360 0.000
Ca 7.301 1.992 2.401
Ca 8.035 6.054 2.401
Ca 8.087 14.432 2.401
Ca 9.030 20.426 0.000
Ca 10.200 9.066 0.000
Ca 11.143 3.072 2.401
Ca 11.195 17.414 2.401
Ca 11.929 13.352 2.401
Cd 1.456 17.278 0.000
Cd 3.025 10.302 0.000
Cd 3.385 21.662 0.000
Cd 4.954 5.918 0.000
Cd 7.866 16.802 0.000
Cd 9.435 1.058 0.000
Cd 9.795 12.418 0.000
Cd 11.364 5.442 0.000
Bi 0.000 11.360 0.000
Bi 0.610 3.259 0.000
Bi 1.478 15.597 2.401
Bi 2.318 0.342 2.401
Bi 2.335 7.457 0.000
Bi 4.075 18.817 0.000
Bi 4.092 11.702 2.401
Bi 4.931 4.236 2.401
Bi 5.800 14.619 0.000
Bi 6.410 0.000 0.000
Bi 7.020 8.101 0.000
Bi 7.888 18.484 2.401
Bi 8.728 11.018 2.401
Bi 8.745 3.903 0.000
Bi 10.485 15.263 0.000
Bi 10.502 22.378 2.401
Bi 11.341 7.124 2.401
Bi 12.210 19.461 0.000
```

Largest 8 diffraction maxima, sorted by position, 5° ≤ 2θ ≤ 70°:
2θ/deg, d (Å), I (rel.)
23.0, 3.867, 82
23.5, 3.788, 72
23.9, 3.721, 100
30.5, 2.935, 90
30.9, 2.897, 67
37.5, 2.401, 84
39.5, 2.283, 52
44.9, 2.018, 40

---

Entry 4:
The following is a computed powder XRD pattern of Cs6Eu. It was derived from a DFT-relaxed cell (GGA-PBE, Alexandria), using Cu Kα, 1.54184 Å.
Intensities are scaled so that the largest is 100.

Atomic structure:
```
7
Lattice="-6.642 6.642 6.642 6.642 -6.642 6.642 6.642 6.642 -6.642" Properties=species:S:1:pos:R:3 pbc="T T T"
Cs 6.642 3.321 0.000
Cs 6.642 0.000 3.321
Cs 3.321 6.642 0.000
Cs 3.321 0.000 6.642
Cs 0.000 6.642 3.321
Cs 0.000 3.321 6.642
Eu 0.000 0.000 0.000
```

Largest 8 diffraction maxima, sorted by position, 5° ≤ 2θ ≤ 70°:
2θ/deg, d (Å), I (rel.)
13.3, 6.642, 39
16.3, 5.423, 100
23.2, 3.835, 34
25.1, 3.550, 73
26.8, 3.321, 39
37.1, 2.425, 26
38.3, 2.348, 30
41.9, 2.155, 28

---

Entry 5:
The following is a computed powder XRD pattern of PrEr4In4. It was derived from a DFT-relaxed cell (GGA-PBE, Alexandria), using Cu Kα, 1.54184 Å.
Intensities are scaled so that the largest is 100.

Atomic structure:
```
18
Lattice="7.253 0.000 0.000 0.000 7.253 0.000 0.000 0.000 10.478" Properties=species:S:1:pos:R:3 pbc="T T T"
Pr 1.813 5.440 2.619
Pr 5.440 1.813 7.858
Er 0.109 1.813 1.660
Er 1.813 0.109 6.899
Er 1.813 3.517 6.899
Er 3.517 1.813 1.660
Er 3.736 5.440 8.817
Er 5.440 3.736 3.578
Er 5.440 7.144 3.578
Er 7.144 5.440 8.817
In 0.294 1.813 4.774
In 1.813 0.294 10.013
In 1.813 3.333 10.013
In 3.333 1.813 4.774
In 3.921 5.440 5.704
In 5.440 3.921 0.465
In 5.440 6.959 0.465
In 6.959 5.440 5.704
```

Largest 8 diffraction maxima, sorted by position, 5° ≤ 2θ ≤ 70°:
2θ/deg, d (Å), I (rel.)
14.9, 5.964, 22
28.8, 3.099, 100
35.0, 2.564, 48
35.7, 2.516, 96
36.5, 2.464, 29
50.3, 1.813, 27
57.8, 1.595, 22
63.2, 1.471, 29

---

Entry 6:
The following is a computed powder XRD pattern of TlNi2Ge. It was derived from a DFT-relaxed cell (GGA-PBE, Alexandria), using Cu Kα, 1.54184 Å.
Intensities are scaled so that the largest is 100.

Atomic structure:
```
4
Lattice="0.000 3.121 3.121 3.121 0.000 3.121 3.121 3.121 0.000" Properties=species:S:1:pos:R:3 pbc="T T T"
Tl 0.000 0.000 0.000
Ni 1.560 1.560 1.560
Ni 4.681 4.681 4.681
Ge 3.121 3.121 3.121
```

Largest 8 diffraction maxima, sorted by position, 5° ≤ 2θ ≤ 70°:
2θ/deg, d (Å), I (rel.)
24.7, 3.604, 23
28.6, 3.121, 16
40.9, 2.207, 100
48.4, 1.882, 12
50.7, 1.802, 5
59.2, 1.560, 17
65.1, 1.432, 5
67.1, 1.396, 7

---

Entry 7:
The following is a computed powder XRD pattern of LiPuCl5. It was derived from a DFT-relaxed cell (GGA-PBE, Alexandria), using Cu Kα, 1.54184 Å.
Intensities are scaled so that the largest is 100.

Atomic structure:
```
14
Lattice="5.136 -4.984 0.000 5.136 4.984 0.000 -4.765 0.000 8.781" Properties=species:S:1:pos:R:3 pbc="T T T"
Li 1.562 3.732 6.586
Li 3.945 -3.732 2.195
Pu 2.568 2.492 0.000
Pu 0.186 -2.492 4.390
Cl -0.093 2.127 7.353
Cl -2.824 0.015 8.469
Cl -0.441 -0.015 4.078
Cl 3.945 1.767 2.195
Cl 3.218 2.127 5.818
Cl 2.289 -2.127 2.963
Cl 1.562 -1.767 6.586
Cl 5.948 0.015 4.702
Cl 8.331 -0.015 0.312
Cl 5.601 -2.127 1.427
```

Largest 8 diffraction maxima, sorted by position, 5° ≤ 2θ ≤ 70°:
2θ/deg, d (Å), I (rel.)
13.5, 6.555, 100
17.8, 4.984, 28
19.3, 4.596, 58
19.7, 4.514, 19
20.2, 4.390, 17
20.4, 4.351, 26
32.1, 2.785, 21
36.0, 2.495, 17

---

Entry 8:
The following is a computed powder XRD pattern of TmMnTc. It was derived from a DFT-relaxed cell (GGA-PBE, Alexandria), using Cu Kα, 1.54184 Å.
Intensities are scaled so that the largest is 100.

Atomic structure:
```
6
Lattice="-2.571 2.680 3.755 2.571 -2.680 3.755 2.571 2.680 -3.755" Properties=species:S:1:pos:R:3 pbc="T T T"
Tm 0.000 1.340 0.924
Tm 2.571 1.340 2.832
Mn 2.571 0.000 0.000
Mn 0.000 0.000 3.755
Tc 1.286 1.340 -1.878
Tc 1.286 -1.340 1.878
```

Largest 8 diffraction maxima, sorted by position, 5° ≤ 2θ ≤ 70°:
2θ/deg, d (Å), I (rel.)
33.4, 2.680, 32
34.0, 2.639, 77
39.8, 2.267, 100
40.1, 2.251, 25
40.7, 2.215, 79
42.6, 2.121, 19
60.1, 1.539, 19
64.7, 1.440, 20